Theoretical powder diffractogram
Compound: TiCr2FeO6
Radiation: a wavelength of 1.5418 Å
Structure: a PBE+U-relaxed structure
Intensities are scaled so that the largest is 100.

Atomic structure:
Cell: 5.136 5.136 5.477 Å, 90.45 117.38 119.96°
Space group P1 (No. 1)
One atom of each set of equivalent atoms:
Ti1 0.000 0.000 0.000 (multiplicity 1)
Cr1 0.594 0.796 0.392 (multiplicity 1)
Cr2 0.596 0.299 0.891 (multiplicity 1)
Fe1 0.012 0.509 0.513 (multiplicity 1)
O1 0.094 0.913 0.683 (multiplicity 1)
O2 0.097 0.710 0.169 (multiplicity 1)
O3 0.458 0.386 0.167 (multiplicity 1)
O4 0.515 0.597 0.690 (multiplicity 1)
O5 0.776 0.178 0.688 (multiplicity 1)
O6 0.787 0.081 0.174 (multiplicity 1)

Main lines, sorted by position (2θ from 10° to 90°):
hkl 0 1 -1, 23.7°, I 35
hkl -1 1 1, 23.9°, I 17
hkl 1 -1 1, 32.6°, I 42
hkl 1 0 -2, 32.8°, I 83
hkl -2 1 1, 34.9°, I 100
hkl 2 0 0, 48.5°, I 34
hkl -2 2 2, 48.9°, I 17
hkl 1 -2 2, 53.0°, I 26
hkl -2 1 3, 53.6°, I 25
hkl 3 0 -2, 62.7°, I 31